Structure and simulated powder XRD pattern of RbCd (the GGA-PBE geometry in OQMD; Cu Kα).
Kinematic intensities with the Lorentz-polarization factor, no thermal factor.

Largest 10 diffraction maxima, in order of rising 2θ, 2θ = 10–90°:
- 24.1°, 3.696 Å, I 79
- 26.1°, 3.416 Å, I 100
- 30.0°, 2.980 Å, I 27
- 30.9°, 2.898 Å, I 40
- 35.1°, 2.558 Å, I 92
- 36.5°, 2.459 Å, I 42
- 44.2°, 2.047 Å, I 23
- 46.8°, 1.941 Å, I 46
- 54.5°, 1.683 Å, I 42
- 57.7°, 1.598 Å, I 21

Atomic structure:
```
RbCd
1.0
5.115 0.000 0.000
-2.558 4.430 0.000
0.000 0.000 26.816
Rb Cd
6 6
Direct
0.000 0.000 0.091
0.000 0.000 0.909
0.333 0.667 0.575
0.333 0.667 0.758
0.667 0.333 0.242
0.667 0.333 0.425
0.000 0.000 0.333
0.000 0.000 0.667
0.333 0.667 0.000
0.333 0.667 0.334
0.667 0.333 0.000
0.667 0.333 0.666
```


Structure and simulated powder XRD pattern of Rb2Cd17 (the GGA-PBE geometry in OQMD; Cu Kα).
Kinematic intensities with the Lorentz-polarization factor, no thermal factor.

Largest 10 diffraction maxima, in order of rising 2θ, 2θ = 10–90°:
- 30.2°, 2.961 Å, I 31
- 31.3°, 2.860 Å, I 29
- 35.0°, 2.565 Å, I 63
- 35.3°, 2.546 Å, I 100
- 36.0°, 2.493 Å, I 46
- 36.2°, 2.481 Å, I 27
- 39.5°, 2.280 Å, I 98
- 40.2°, 2.241 Å, I 27
- 62.8°, 1.481 Å, I 26
- 64.3°, 1.449 Å, I 22

Atomic structure:
```
Rb2Cd17
1.0
5.798 -5.130 0.000
5.798 5.130 0.000
-1.258 0.000 7.635
Rb Cd
2 17
Direct
0.159 0.159 0.340
0.841 0.841 0.660
0.000 0.500 0.000
0.147 0.147 0.846
0.147 0.655 0.353
0.201 0.499 0.701
0.203 0.797 0.000
0.345 0.853 0.647
0.400 0.400 0.100
0.499 0.201 0.701
0.500 0.000 0.000
0.500 0.500 0.500
0.501 0.799 0.299
0.600 0.600 0.900
0.655 0.147 0.353
0.797 0.203 0.000
0.799 0.501 0.299
0.853 0.345 0.647
0.853 0.853 0.154
```


Structure and simulated powder XRD pattern of Rb2CdReSe6 (the GGA-PBE geometry in OQMD; Cu Kα).
Kinematic intensities with the Lorentz-polarization factor, no thermal factor.

Largest 10 diffraction maxima, in order of rising 2θ, 2θ = 10–90°:
- 17.3°, 5.127 Å, I 60
- 25.2°, 3.539 Å, I 52
- 25.3°, 3.521 Å, I 37
- 29.4°, 3.042 Å, I 54
- 31.4°, 2.848 Å, I 30
- 35.0°, 2.564 Å, I 100
- 36.9°, 2.433 Å, I 35
- 38.0°, 2.365 Å, I 44
- 38.3°, 2.350 Å, I 37
- 51.7°, 1.769 Å, I 32

Atomic structure:
```
Rb2CdReSe6
1.0
6.586 -3.127 0.000
6.586 3.127 0.000
-6.036 0.000 6.620
Rb Cd Re Se
2 1 1 6
Direct
0.215 0.215 0.238
0.785 0.785 0.762
0.500 0.500 0.000
0.000 0.000 0.500
0.212 0.683 0.251
0.252 0.252 0.643
0.317 0.788 0.749
0.683 0.212 0.251
0.748 0.748 0.357
0.788 0.317 0.749
```


Structure and simulated powder XRD pattern of Rb2Cd3Sn2S8 (the GGA-PBE geometry in OQMD; Cu Kα).
Kinematic intensities with the Lorentz-polarization factor, no thermal factor.

Largest 10 diffraction maxima, in order of rising 2θ, 2θ = 10–90°:
- 12.0°, 7.350 Å, I 99
- 21.7°, 4.103 Å, I 100
- 23.0°, 3.870 Å, I 74
- 24.0°, 3.708 Å, I 56
- 27.6°, 3.235 Å, I 42
- 28.2°, 3.162 Å, I 80
- 33.7°, 2.656 Å, I 54
- 34.2°, 2.622 Å, I 66
- 37.0°, 2.429 Å, I 59
- 48.2°, 1.886 Å, I 44

Atomic structure:
```
Rb2Cd3Sn2S8
1.0
6.837 0.000 0.000
-2.921 7.689 0.000
-0.150 -2.565 8.356
Rb Cd Sn S
2 3 2 8
Direct
0.129 0.460 0.252
0.871 0.540 0.748
0.333 0.054 0.392
0.500 0.000 0.000
0.667 0.946 0.608
0.247 0.181 0.780
0.753 0.819 0.220
0.098 0.834 0.144
0.269 0.886 0.640
0.340 0.346 0.585
0.485 0.299 0.025
0.515 0.701 0.975
0.660 0.654 0.415
0.731 0.114 0.360
0.902 0.166 0.856
```